(1)
The following is a simulated PXRD pattern of Pu2NpZnN5. It was derived from DFT lattice parameters and positions (GGA-PBE), using CuKα.
Kinematic intensities with the Lorentz-polarization factor, no thermal factor.

Cell lengths 6.9821, 6.9821, 10.2224 Å; angles 90.00, 90.00, 151.78 degrees
Positions (direct):
Pu (0.1019, 0.8981, 0.5000)
Pu (0.1309, 0.8691, 0.1123)
Pu (0.8691, 0.1309, 0.6123)
Pu (0.8981, 0.1019, 0.0000)
Np (0.2059, 0.7941, 0.8232)
Np (0.7941, 0.2059, 0.3232)
Zn (0.4829, 0.5171, 0.2834)
Zn (0.5171, 0.4829, 0.7834)
N (0.0549, 0.9451, 0.8762)
N (0.2841, 0.7159, 0.4595)
N (0.2990, 0.7010, 0.1891)
N (0.3600, 0.6400, 0.8194)
N (0.4962, 0.5038, 0.5882)
N (0.5038, 0.4962, 0.0882)
N (0.6400, 0.3600, 0.3194)
N (0.7010, 0.2990, 0.6891)
N (0.7159, 0.2841, 0.9595)
N (0.9451, 0.0549, 0.3762)

The 8 most intense peaks (10 to 90 degrees two-theta), most intense first:
Position (°2θ)  d/Å  intensity
37.95  2.371  100.0
29.34  3.044  96.1
31.70  2.823  65.7
32.96  2.718  63.2
46.38  1.958  60.4
27.01  3.301  47.0
32.28  2.773  41.7
56.33  1.633  41.6



(2)
The following is a simulated PXRD pattern of Ho4InHgO. It was derived from DFT lattice parameters and positions (GGA-PBE), using CuKα.
Kinematic intensities with the Lorentz-polarization factor, no thermal factor.

Cell lengths 8.6023, 8.6023, 6.5547 Å; angles 90.00, 90.00, 135.26 degrees
Positions (direct):
Ho (0.0000, 0.5000, 0.0000)
Ho (0.0000, 0.5000, 0.5000)
Ho (0.0714, 0.9286, 0.7500)
Ho (0.4185, 0.5815, 0.7500)
Ho (0.5000, 0.0000, 0.0000)
Ho (0.5000, 0.0000, 0.5000)
Ho (0.5815, 0.4185, 0.2500)
Ho (0.9286, 0.0714, 0.2500)
In (0.3875, 0.6125, 0.2500)
In (0.6125, 0.3875, 0.7500)
Hg (0.1168, 0.8832, 0.2500)
Hg (0.8832, 0.1168, 0.7500)
O (0.2544, 0.7456, 0.7500)
O (0.7456, 0.2544, 0.2500)

The 8 most intense peaks (10 to 90 degrees two-theta), most intense first:
Position (°2θ)  d/Å  intensity
35.50  2.529  100.0
29.49  3.029  87.4
38.88  2.316  71.5
52.45  1.744  36.2
33.80  2.652  31.5
68.22  1.375  30.3
34.19  2.623  30.1
56.16  1.638  24.5



(3)
The following is a simulated PXRD pattern of Er2ThMg3. It was derived from DFT lattice parameters and positions (GGA-PBE), using CuKα.
Kinematic intensities with the Lorentz-polarization factor, no thermal factor.

Cell lengths 3.7665, 3.7665, 11.4916 Å; angles 90.00, 90.00, 90.00 degrees
Positions (direct):
Er (0.0000, 0.0000, 0.1647)
Er (0.0000, 0.0000, 0.8353)
Th (0.0000, 0.0000, 0.5000)
Mg (0.5000, 0.5000, 0.0000)
Mg (0.5000, 0.5000, 0.3231)
Mg (0.5000, 0.5000, 0.6769)

The 8 most intense peaks (10 to 90 degrees two-theta), most intense first:
Position (°2θ)  d/Å  intensity
33.36  2.686  100.0
23.62  3.767  67.6
33.65  2.663  49.1
60.00  1.542  37.5
23.22  3.831  35.3
41.29  2.187  32.3
59.44  1.555  19.1
48.33  1.883  17.9



(4)
The following is a simulated PXRD pattern of Ba7B4Se13. It was derived from DFT lattice parameters and positions (GGA-PBE), using CuKα.
Kinematic intensities with the Lorentz-polarization factor, no thermal factor.

Cell lengths 13.8398, 13.8398, 10.6618 Å; angles 90.02, 90.02, 134.66 degrees
Positions (direct):
Ba (0.0027, 0.9973, 0.7500)
Ba (0.0644, 0.7214, 0.4717)
Ba (0.1046, 0.4518, 0.1431)
Ba (0.2786, 0.9356, 0.0283)
Ba (0.3324, 0.6676, 0.7500)
Ba (0.4518, 0.1046, 0.6431)
Ba (0.4958, 0.5042, 0.2500)
Ba (0.5042, 0.4958, 0.7500)
Ba (0.5482, 0.8954, 0.3569)
Ba (0.6676, 0.3324, 0.2500)
Ba (0.7214, 0.0644, 0.9717)
Ba (0.8954, 0.5482, 0.8569)
Ba (0.9356, 0.2786, 0.5283)
Ba (0.9973, 0.0027, 0.2500)
B (0.0672, 0.2923, 0.8513)
B (0.2832, 0.5169, 0.4317)
B (0.2923, 0.0672, 0.3513)
B (0.4831, 0.7168, 0.0683)
B (0.5169, 0.2832, 0.9317)
B (0.7077, 0.9328, 0.6487)
B (0.7168, 0.4831, 0.5683)
B (0.9328, 0.7077, 0.1487)
Se (0.0049, 0.6233, 0.1528)
Se (0.0208, 0.1722, 0.9902)
Se (0.1686, 0.3221, 0.7026)
Se (0.1722, 0.0208, 0.4902)
Se (0.1815, 0.3409, 0.3493)
Se (0.2056, 0.7944, 0.7500)
Se (0.2075, 0.5973, 0.4371)
Se (0.3221, 0.1686, 0.2026)
Se (0.3409, 0.1815, 0.8493)
Se (0.3710, 0.5337, 0.9993)
Se (0.3767, 0.9951, 0.3472)
Se (0.4027, 0.7925, 0.0629)
Se (0.4663, 0.6290, 0.5007)
Se (0.5337, 0.3710, 0.4993)
Se (0.5973, 0.2075, 0.9371)
Se (0.6233, 0.0049, 0.6528)
Se (0.6290, 0.4663, 0.0007)
Se (0.6591, 0.8185, 0.1507)
Se (0.6779, 0.8314, 0.7974)
Se (0.7925, 0.4027, 0.5629)
Se (0.7944, 0.2056, 0.2500)
Se (0.8185, 0.6591, 0.6507)
Se (0.8278, 0.9792, 0.5098)
Se (0.8314, 0.6779, 0.2974)
Se (0.9792, 0.8278, 0.0098)
Se (0.9951, 0.3767, 0.8472)

The 8 most intense peaks (10 to 90 degrees two-theta), most intense first:
Position (°2θ)  d/Å  intensity
26.66  3.344  100.0
37.72  2.385  85.5
28.47  3.135  78.4
31.74  2.819  73.0
31.80  2.814  49.1
36.28  2.476  38.6
36.87  2.438  37.7
27.95  3.193  33.8